For Pm2Ga12Ni, a crystal structure in Alexandria, relaxed with GGA-PBE gives the simulated XRD peak list in this record (Cu Kα X-rays).

Structure:
```
data_Pm2Ga12Ni
_cell_length_a 6.081
_cell_length_b 6.081
_cell_length_c 15.392
_cell_angle_alpha 90.00
_cell_angle_beta 90.00
_cell_angle_gamma 90.00
_space_group_name_H-M_alt 'P 4/n b m'
_space_group_IT_number 125
loop_
_space_group_symop_operation_xyz
'x,y,z'
'-x,-y,-z'
'-y+1/2,x,z'
'y+1/2,-x,-z'
'-x+1/2,-y+1/2,z'
'x+1/2,y+1/2,-z'
'y,-x+1/2,z'
'-y,x+1/2,-z'
'x,-y+1/2,-z'
'-x,y+1/2,z'
'-y+1/2,-x+1/2,-z'
'y+1/2,x+1/2,z'
'-x+1/2,y,-z'
'x+1/2,-y,z'
'y,x,-z'
'-y,-x,z'
loop_
_atom_site_label
_atom_site_type_symbol
_atom_site_fract_x
_atom_site_fract_y
_atom_site_fract_z
Pm1 Pm 0.250 0.750 0.242
Ga1 Ga 0.000 0.000 0.084
Ga2 Ga 0.082 0.582 0.430
Ga3 Ga 0.250 0.250 0.184
Ga4 Ga 0.250 0.250 0.344
Ni1 Ni 0.250 0.750 0.000
```

Largest 12 diffraction maxima, in order of falling intensity, 2θ = 5–70°:
| Position (°2θ) | Rel. int. |
| --- | --- |
| 31.6 | 100 |
| 42.0 | 61 |
| 31.2 | 56 |
| 41.0 | 36 |
| 53.3 | 28 |
| 37.7 | 27 |
| 69.1 | 25 |
| 35.0 | 24 |
| 46.3 | 22 |
| 41.8 | 20 |
| 60.2 | 15 |
| 37.4 | 14 |